The following is a computed powder X-ray diffraction pattern of LiTm2Cl2O2. It was derived from DFT lattice parameters and positions (GGA-PBE), using Cu Kα (weighted mean of Kα1 and Kα2).
Kinematic intensities with the Lorentz-polarization factor, no thermal factor.

Structure:
a b c (Å): 3.872 3.872 8.633
angles (deg): 90.00 90.00 90.00
Fractional coordinates of all 7 atoms:
Li  0.000  0.000  0.000
Tm  0.000  0.500  0.622
Tm  0.500  0.000  0.378
Cl  0.000  0.500  0.188
Cl  0.500  0.000  0.812
O  0.000  0.000  0.500
O  0.500  0.500  0.500

The 10 most intense peaks (10 to 80 degrees two-theta), in order of rising 2θ:
d [Å], I_rel, hkl
8.633, 1000, 0 0 1
3.533, 235, 1 0 1
2.882, 806, 1 0 2
2.738, 311, 1 1 0
2.610, 139, 1 1 1
2.310, 235, 1 0 3
1.936, 161, 2 0 0
1.696, 216, 1 1 4
1.607, 289, 2 1 2
1.484, 109, 2 1 3